Record 1
The following is a computed powder X-ray diffraction pattern of Cs5B2Se6. It was derived from a crystal structure in Alexandria, relaxed with PBE, using a wavelength of 1.5418 Å.

Most intense lines, 2θ = 10–80°, sorted by position:
- 2θ 23.08, 3.854 Å, intensity 94, (0 2 2)
- 2θ 24.00, 3.708 Å, intensity 56, (3 1 1)
- 2θ 24.95, 3.569 Å, intensity 65, (3 1 -3)
- 2θ 26.34, 3.384 Å, intensity 100, (3 1 2)
- 2θ 27.67, 3.224 Å, intensity 94, (3 1 -4)
- 2θ 30.37, 2.943 Å, intensity 48, (4 0 -4)
- 2θ 31.64, 2.828 Å, intensity 54, (1 1 -6)
- 2θ 32.24, 2.777 Å, intensity 39, (1 3 -1)
- 2θ 32.89, 2.723 Å, intensity 31, (0 2 5)
- 2θ 34.13, 2.627 Å, intensity 30, (1 1 6)
- 2θ 37.06, 2.426 Å, intensity 28, (0 2 6)
- 2θ 37.24, 2.414 Å, intensity 46, (3 3 -1)

Structure:
Cell: 13.556 8.571 17.980 Å, 90.00 101.23 90.00°
Space group C2/c (No. 15)
Asymmetric unit:
Cs1 0.000 0.076 0.250 [4 per cell]
Cs2 0.065 0.239 0.994 [8 per cell]
Cs3 0.154 0.461 0.709 [8 per cell]
B1 0.233 0.340 0.429 [8 per cell]
Se1 0.089 0.402 0.379 [8 per cell]
Se2 0.160 0.080 0.629 [8 per cell]
Se3 0.235 0.096 0.454 [8 per cell]

Record 2
The following is a computed powder X-ray diffraction pattern of CsBSe2. It was derived from a crystal structure in Alexandria, relaxed with PBE, using a wavelength of 1.5418 Å.

Most intense lines, 2θ = 10–80°, sorted by position:
- 2θ 17.06, 5.196 Å, intensity 64, (0 1 -1)
- 2θ 17.73, 5.001 Å, intensity 48, (0 0 1)
- 2θ 17.90, 4.955 Å, intensity 54, (1 -1 0)
- 2θ 24.54, 3.627 Å, intensity 95, (1 1 -1)
- 2θ 26.62, 3.348 Å, intensity 77, (-1 1 1)
- 2θ 30.00, 2.978 Å, intensity 100, (1 0 1)
- 2θ 30.20, 2.960 Å, intensity 98, (2 -1 0)
- 2θ 30.50, 2.931 Å, intensity 25, (0 2 -1)
- 2θ 36.41, 2.468 Å, intensity 33, (0 2 0)
- 2θ 36.63, 2.453 Å, intensity 33, (2 0 -2)
- 2θ 46.82, 1.940 Å, intensity 29, (1 2 -3)
- 2θ 48.95, 1.861 Å, intensity 26, (2 -2 2)

Structure:
Cell: 6.155 6.175 6.188 Å, 114.41 105.79 107.92°
Space group P-1 (No. 2)
Asymmetric unit:
Cs1 0.000 0.000 0.000 [1 per cell]
B1 0.500 0.500 0.000 [1 per cell]
Se1 0.257 0.498 0.755 [2 per cell]

What is the formula in the second record? CsBSe2

Copy entry 2 word for word.
The following is a computed powder X-ray diffraction pattern of CsBSe2. It was derived from a crystal structure in Alexandria, relaxed with PBE, using a wavelength of 1.5418 Å.

Most intense lines, 2θ = 10–80°, sorted by position:
- 2θ 17.06, 5.196 Å, intensity 64, (0 1 -1)
- 2θ 17.73, 5.001 Å, intensity 48, (0 0 1)
- 2θ 17.90, 4.955 Å, intensity 54, (1 -1 0)
- 2θ 24.54, 3.627 Å, intensity 95, (1 1 -1)
- 2θ 26.62, 3.348 Å, intensity 77, (-1 1 1)
- 2θ 30.00, 2.978 Å, intensity 100, (1 0 1)
- 2θ 30.20, 2.960 Å, intensity 98, (2 -1 0)
- 2θ 30.50, 2.931 Å, intensity 25, (0 2 -1)
- 2θ 36.41, 2.468 Å, intensity 33, (0 2 0)
- 2θ 36.63, 2.453 Å, intensity 33, (2 0 -2)
- 2θ 46.82, 1.940 Å, intensity 29, (1 2 -3)
- 2θ 48.95, 1.861 Å, intensity 26, (2 -2 2)

Structure:
Cell: 6.155 6.175 6.188 Å, 114.41 105.79 107.92°
Space group P-1 (No. 2)
Asymmetric unit:
Cs1 0.000 0.000 0.000 [1 per cell]
B1 0.500 0.500 0.000 [1 per cell]
Se1 0.257 0.498 0.755 [2 per cell]